Starting from DFT lattice parameters and positions (GGA+U), the PXRD pattern of Ba2VO4F was calculated for Cu Kα, 1.54184 Å.

Principal peaks in the range 15° ≤ 2θ ≤ 90°, in order of falling intensity:
2theta, I/Imax
28.82, 100
17.98, 86
39.31, 82
26.55, 70
32.29, 63
20.88, 63
21.54, 53
39.60, 45
42.50, 37
36.42, 32

Atomic structure:
Lattice parameters (Å, degrees): 5.2178 5.2178 9.5159 115.15 115.15 36.91
Sites, in units of the cell vectors:
Ba (0.1486, 0.1486, 0.2446)
Ba (0.8514, 0.8514, 0.7554)
V (0.0000, 0.0000, 0.5000)
O (0.1279, 0.1279, 0.7067)
O (0.3908, 0.3908, 0.5349)
O (0.6092, 0.6092, 0.4651)
O (0.8721, 0.8721, 0.2933)
F (0.5000, 0.5000, 0.0000)

***

Starting from DFT lattice parameters and positions (GGA+U), the PXRD pattern of Ba2WO3F4 was calculated for Cu Kα, 1.54184 Å.

Principal peaks in the range 15° ≤ 2θ ≤ 90°, in order of falling intensity:
2theta, I/Imax
24.34, 100
29.76, 99
28.13, 99
23.80, 85
26.46, 81
29.55, 80
27.39, 72
30.78, 62
24.64, 56
42.33, 54

Atomic structure:
Lattice parameters (Å, degrees): 7.5689 7.5689 7.3188 117.13 117.13 78.38
Sites, in units of the cell vectors:
Ba (0.1180, 0.4642, 0.8356)
Ba (0.1202, 0.8798, 0.5000)
Ba (0.4642, 0.1180, 0.3356)
Ba (0.8798, 0.1202, 0.0000)
W (0.5908, 0.6447, 0.4533)
W (0.6447, 0.5908, 0.9533)
O (0.3503, 0.5347, 0.3220)
O (0.5347, 0.3503, 0.8220)
O (0.5357, 0.8992, 0.6073)
O (0.5682, 0.6943, 0.2067)
O (0.6943, 0.5682, 0.7067)
O (0.8992, 0.5357, 0.1073)
F (0.1411, 0.2151, 0.4477)
F (0.1424, 0.8465, 0.1192)
F (0.2151, 0.1411, 0.9477)
F (0.3682, 0.7003, 0.8032)
F (0.7003, 0.3682, 0.3032)
F (0.7181, 0.8946, 0.0992)
F (0.8465, 0.1424, 0.6192)
F (0.8946, 0.7181, 0.5992)

***

Please write out number 2 again, unchanged.
Starting from DFT lattice parameters and positions (GGA+U), the PXRD pattern of Ba2WO3F4 was calculated for Cu Kα, 1.54184 Å.

Principal peaks in the range 15° ≤ 2θ ≤ 90°, in order of falling intensity:
2theta, I/Imax
24.34, 100
29.76, 99
28.13, 99
23.80, 85
26.46, 81
29.55, 80
27.39, 72
30.78, 62
24.64, 56
42.33, 54

Atomic structure:
Lattice parameters (Å, degrees): 7.5689 7.5689 7.3188 117.13 117.13 78.38
Sites, in units of the cell vectors:
Ba (0.1180, 0.4642, 0.8356)
Ba (0.1202, 0.8798, 0.5000)
Ba (0.4642, 0.1180, 0.3356)
Ba (0.8798, 0.1202, 0.0000)
W (0.5908, 0.6447, 0.4533)
W (0.6447, 0.5908, 0.9533)
O (0.3503, 0.5347, 0.3220)
O (0.5347, 0.3503, 0.8220)
O (0.5357, 0.8992, 0.6073)
O (0.5682, 0.6943, 0.2067)
O (0.6943, 0.5682, 0.7067)
O (0.8992, 0.5357, 0.1073)
F (0.1411, 0.2151, 0.4477)
F (0.1424, 0.8465, 0.1192)
F (0.2151, 0.1411, 0.9477)
F (0.3682, 0.7003, 0.8032)
F (0.7003, 0.3682, 0.3032)
F (0.7181, 0.8946, 0.0992)
F (0.8465, 0.1424, 0.6192)
F (0.8946, 0.7181, 0.5992)

***

Number 1 is which compound? Ba2VO4F